Structure and simulated powder diffractogram of AlZn3Pb (a DFT-relaxed cell (PBE, Alexandria); Cu Kα (λ = 1.5418 Å)).

The 10 most intense peaks (15° ≤ 2θ ≤ 90°), low angle first:
18.1°, d 4.907, I 18.9
25.7°, d 3.470, I 41.5
31.6°, d 2.833, I 100.0
36.6°, d 2.453, I 65.5
45.3°, d 2.003, I 19.0
52.8°, d 1.735, I 45.4
62.8°, d 1.479, I 41.1
65.9°, d 1.416, I 15.2
86.4°, d 1.126, I 17.2
89.3°, d 1.097, I 20.7

Atomic structure:
```
AlZn3Pb
1.0
4.907 0.000 0.000
0.000 4.907 0.000
0.000 0.000 4.907
Al Zn Pb
1 3 1
direct
0.000 0.000 0.000
0.000 0.000 0.500
0.000 0.500 0.000
0.500 0.000 0.000
0.500 0.500 0.500
```


Structure and simulated powder diffractogram of ZrAlPb2 (a DFT-relaxed cell (PBE, Alexandria); Cu Kα (λ = 1.5418 Å)).

The 10 most intense peaks (15° ≤ 2θ ≤ 90°), low angle first:
26.7°, d 3.339, I 49.0
32.0°, d 2.797, I 75.1
35.2°, d 2.551, I 12.7
36.7°, d 2.446, I 100.0
45.9°, d 1.978, I 28.0
53.9°, d 1.702, I 15.3
60.2°, d 1.538, I 48.4
69.1°, d 1.360, I 14.3
76.1°, d 1.251, I 12.9
78.8°, d 1.214, I 11.3

Atomic structure:
```
ZrAlPb2
1.0
3.956 0.000 0.000
0.000 3.956 0.000
0.000 0.000 6.224
Zr Al Pb
1 1 2
direct
0.000 0.000 0.000
0.500 0.500 0.215
0.000 0.000 0.477
0.500 0.500 0.760
```


Structure and simulated powder diffractogram of Al3Pd5 (a DFT-relaxed cell (PBE, Alexandria); Cu Kα (λ = 1.5418 Å)).

The 10 most intense peaks (15° ≤ 2θ ≤ 90°), low angle first:
23.4°, d 3.803, I 19.7
28.7°, d 3.111, I 18.5
32.3°, d 2.775, I 35.7
39.9°, d 2.258, I 50.3
40.5°, d 2.226, I 100.0
40.9°, d 2.209, I 65.3
41.9°, d 2.157, I 34.0
44.6°, d 2.030, I 44.8
47.8°, d 1.901, I 25.6
62.9°, d 1.478, I 19.9

Atomic structure:
```
Al3Pd5
1.0
5.433 0.000 0.000
0.000 10.647 0.000
0.000 0.000 4.060
Al Pd
6 10
direct
0.000 0.000 0.000
0.163 0.357 0.500
0.337 0.857 0.500
0.500 0.500 0.000
0.663 0.143 0.500
0.837 0.643 0.500
0.000 0.500 0.000
0.094 0.768 0.000
0.188 0.106 0.500
0.312 0.606 0.500
0.406 0.268 0.000
0.500 0.000 0.000
0.594 0.732 0.000
0.688 0.394 0.500
0.812 0.894 0.500
0.906 0.232 0.000
```


Structure and simulated powder diffractogram of Al21Pd8 (a DFT-relaxed cell (PBE, Alexandria); Cu Kα (λ = 1.5418 Å)).

The 10 most intense peaks (15° ≤ 2θ ≤ 90°), low angle first:
25.4°, d 3.507, I 56.1
25.7°, d 3.462, I 39.6
25.9°, d 3.436, I 100.0
27.2°, d 3.276, I 50.0
38.9°, d 2.314, I 32.6
41.4°, d 2.178, I 21.0
42.8°, d 2.113, I 43.4
44.7°, d 2.027, I 32.2
44.8°, d 2.021, I 41.6
45.2°, d 2.006, I 52.3

Atomic structure:
```
Al21Pd8
1.0
-6.535 6.535 5.385
6.535 -6.535 5.385
6.535 6.535 -5.385
Al Pd
42 16
direct
0.013 0.424 0.085
0.065 0.779 0.393
0.076 0.661 0.589
0.076 0.992 0.271
0.114 0.328 0.893
0.140 0.318 0.257
0.161 0.071 0.585
0.172 0.565 0.786
0.177 0.154 0.041
0.182 0.939 0.822
0.221 0.805 0.229
0.279 0.386 0.714
0.305 0.576 0.584
0.346 0.887 0.023
0.364 0.323 0.477
0.375 0.125 0.250
0.383 0.640 0.322
0.387 0.864 0.541
0.429 0.513 0.089
0.439 0.117 0.757
0.492 0.721 0.916
0.508 0.279 0.084
0.561 0.883 0.243
0.571 0.487 0.911
0.613 0.136 0.459
0.617 0.360 0.678
0.625 0.875 0.750
0.636 0.677 0.523
0.654 0.113 0.977
0.695 0.424 0.416
0.721 0.614 0.286
0.779 0.195 0.771
0.818 0.061 0.178
0.823 0.846 0.959
0.828 0.435 0.214
0.839 0.929 0.415
0.860 0.682 0.743
0.886 0.672 0.107
0.924 0.008 0.729
0.924 0.339 0.411
0.935 0.221 0.607
0.987 0.576 0.915
0.068 0.204 0.436
0.089 0.877 0.027
0.132 0.568 0.364
0.268 0.632 0.064
0.296 0.232 0.864
0.350 0.063 0.473
0.377 0.850 0.787
0.437 0.411 0.287
0.563 0.589 0.713
0.623 0.150 0.213
0.650 0.937 0.527
0.704 0.768 0.136
0.732 0.368 0.936
0.868 0.432 0.636
0.911 0.123 0.973
0.932 0.796 0.564
```


Structure and simulated powder diffractogram of AlPd4 (a DFT-relaxed cell (PBE, Alexandria); Cu Kα (λ = 1.5418 Å)).

The 10 most intense peaks (15° ≤ 2θ ≤ 90°), low angle first:
18.1°, d 4.899, I 9.3
32.8°, d 2.734, I 61.1
36.7°, d 2.450, I 24.5
42.1°, d 2.146, I 100.0
43.8°, d 2.067, I 26.4
46.2°, d 1.964, I 20.5
60.4°, d 1.532, I 10.0
65.6°, d 1.424, I 14.1
75.7°, d 1.257, I 12.2
82.8°, d 1.166, I 11.2

Atomic structure:
```
AlPd4
1.0
5.313 0.000 0.000
0.000 7.856 0.000
-1.598 0.000 3.812
Al Pd
2 8
direct
0.000 0.130 0.250
0.000 0.870 0.750
0.285 0.388 0.394
0.285 0.612 0.894
0.300 0.137 0.900
0.300 0.863 0.400
0.700 0.137 0.600
0.700 0.863 0.100
0.715 0.388 0.106
0.715 0.612 0.606
```


Structure and simulated powder diffractogram of Al6Pd5 (a DFT-relaxed cell (PBE, Alexandria); Cu Kα (λ = 1.5418 Å)).

The 10 most intense peaks (15° ≤ 2θ ≤ 90°), low angle first:
15.9°, d 5.557, I 12.1
28.9°, d 3.086, I 27.7
29.6°, d 3.014, I 38.0
41.9°, d 2.157, I 100.0
42.2°, d 2.141, I 24.6
42.6°, d 2.122, I 23.6
61.5°, d 1.507, I 15.6
69.4°, d 1.354, I 9.7
77.0°, d 1.239, I 16.1
77.5°, d 1.232, I 15.4

Atomic structure:
```
Al6Pd5
1.0
-2.141 3.088 6.365
2.141 -3.088 6.365
2.141 3.088 -6.365
Al Pd
6 5
direct
0.081 0.340 0.741
0.234 0.000 0.234
0.401 0.660 0.741
0.599 0.340 0.259
0.766 0.000 0.766
0.919 0.660 0.259
0.169 0.169 0.000
0.332 0.832 0.500
0.500 0.500 0.000
0.668 0.168 0.500
0.831 0.831 0.000
```


Structure and simulated powder diffractogram of Al3Pd8 (a DFT-relaxed cell (PBE, Alexandria); Cu Kα (λ = 1.5418 Å)).

The 10 most intense peaks (15° ≤ 2θ ≤ 90°), low angle first:
35.1°, d 2.556, I 37.2
36.0°, d 2.496, I 100.0
38.1°, d 2.365, I 40.6
39.3°, d 2.294, I 46.0
52.7°, d 1.736, I 10.3
54.0°, d 1.698, I 18.7
58.1°, d 1.588, I 8.6
61.3°, d 1.513, I 8.5
62.4°, d 1.487, I 22.0
74.2°, d 1.278, I 12.3

Atomic structure:
```
Al3Pd8
1.0
3.935 2.272 3.362
-3.935 2.272 3.362
0.000 -4.544 3.362
Al Pd
3 8
direct
0.000 0.500 0.500
0.500 0.000 0.500
0.500 0.500 0.000
0.118 0.688 0.855
0.145 0.882 0.312
0.312 0.145 0.882
0.370 0.370 0.370
0.630 0.630 0.630
0.688 0.855 0.118
0.855 0.118 0.688
0.882 0.312 0.145
```


Structure and simulated powder diffractogram of AlPd (a DFT-relaxed cell (PBE, Alexandria); Cu Kα (λ = 1.5418 Å)).

The 10 most intense peaks (15° ≤ 2θ ≤ 90°), low angle first:
24.0°, d 3.704, I 29.0
28.9°, d 3.086, I 59.3
38.1°, d 2.364, I 24.1
41.3°, d 2.187, I 100.0
41.5°, d 2.176, I 61.3
49.2°, d 1.852, I 15.7
50.6°, d 1.803, I 14.1
68.1°, d 1.377, I 15.9
68.5°, d 1.370, I 13.9
77.6°, d 1.230, I 14.6

Atomic structure:
```
AlPd
1.0
7.887 4.554 1.772
-7.887 4.554 1.772
0.000 -9.107 1.772
Al Pd
13 13
direct
0.000 0.000 0.000
0.097 0.252 0.653
0.154 0.403 0.444
0.252 0.653 0.097
0.347 0.903 0.748
0.403 0.444 0.154
0.444 0.154 0.403
0.556 0.846 0.597
0.597 0.556 0.846
0.653 0.097 0.252
0.748 0.347 0.903
0.846 0.597 0.556
0.903 0.748 0.347
0.054 0.343 0.096
0.096 0.054 0.343
0.155 0.598 0.751
0.249 0.845 0.402
0.343 0.096 0.054
0.402 0.249 0.845
0.500 0.500 0.500
0.598 0.751 0.155
0.657 0.904 0.946
0.751 0.155 0.598
0.845 0.402 0.249
0.904 0.946 0.657
0.946 0.657 0.904
```